# Ni3Bi2Te2
Calculated PXRD pattern, Cu Kα, 1.54184 Å. Input: a DFT-relaxed cell (GGA-PBE, Alexandria).
No peak broadening, texture or thermal motion is included.

Largest 6 diffraction maxima, in order of rising 2θ, 15 to 90 degrees two-theta:
| Position (°2θ) | I/Imax |
| --- | --- |
| 30.3 | 71 |
| 30.6 | 47 |
| 30.7 | 100 |
| 42.3 | 41 |
| 44.4 | 34 |
| 45.5 | 60 |

abc: 6.5769 6.5769 6.8545
angles: 119.79 119.79 36.16
Fractional positions:
Ni 0.0000 0.0000 0.0000
Ni 0.2543 0.2543 0.2256
Ni 0.7457 0.7457 0.7744
Bi 0.3695 0.3695 0.6955
Bi 0.6305 0.6305 0.3045
Te 0.1231 0.1231 0.7849
Te 0.8769 0.8769 0.2151